Record 1
Theoretical XRD peak list of NiSb3 for λ = 1.5418 Å (Cu Kα), from DFT lattice parameters and positions (PBE).
Intensities are scaled so that the largest is 1000.

Lattice parameters (Å, degrees): 9.247 9.247 9.247 90.00 90.00 90.00
Space group Im-3 (No. 204)
Unique sites:
Ni: 0.250 0.250 0.250 x8
Sb: 0.000 0.159 0.338 x24

Main lines, sorted by position (10 to 90 degrees two-theta):
| 2theta | I_rel | hkl |
| --- | --- | --- |
| 13.5 | 97 | 1 1 0 |
| 30.6 | 1000 | 3 1 0 |
| 36.4 | 355 | 3 2 1 |
| 41.4 | 92 | 3 3 0 |
| 43.8 | 250 | 4 0 2 |
| 46.0 | 113 | 3 3 2 |
| 48.2 | 171 | 4 2 2 |
| 50.3 | 231 | 4 1 3 |
| 58.2 | 184 | 5 0 3 |
| 68.9 | 178 | 6 3 1 |

Record 2
Theoretical XRD peak list of Sc5Ni2Sb for λ = 1.5418 Å (Cu Kα), from DFT lattice parameters and positions (PBE).
Intensities are scaled so that the largest is 1000.

Lattice parameters (Å, degrees): 7.132 7.132 12.608 90.00 90.00 90.00
Space group I4/mcm (No. 140)
Unique sites:
Sc: 0.000 0.000 0.000 x4
Sc: 0.156 0.344 0.138 x16
Ni: 0.132 0.368 0.500 x8
Sb: 0.000 0.000 0.250 x4

Main lines, sorted by position (10 to 90 degrees two-theta):
| 2theta | I_rel | hkl |
| --- | --- | --- |
| 22.6 | 546 | 1 1 2 |
| 33.5 | 319 | 1 1 4 |
| 35.3 | 1000 | 2 1 3 |
| 35.6 | 197 | 2 2 0 |
| 38.1 | 418 | 2 0 4 |
| 40.0 | 849 | 3 1 0 |
| 45.9 | 216 | 2 1 5 |
| 46.8 | 127 | 1 1 6 |
| 49.7 | 169 | 3 1 4 |
| 73.3 | 225 | 3 1 8 |

Record 3
Theoretical XRD peak list of SiNi2Sb for λ = 1.5418 Å (Cu Kα), from DFT lattice parameters and positions (PBE).
Intensities are scaled so that the largest is 1000.

Lattice parameters (Å, degrees): 3.454 2.994 6.255 90.00 105.90 90.00
Space group Pm (No. 6)
Unique sites:
Si: 0.000 0.000 0.000 x1
Ni: 0.365 0.000 0.729 x1
Ni: 0.539 0.500 0.077 x1
Sb: 0.751 0.500 0.500 x1

Main lines, sorted by position (10 to 90 degrees two-theta):
| 2theta | I_rel | hkl |
| --- | --- | --- |
| 14.7 | 235 | 0 0 1 |
| 26.9 | 566 | 1 0 -1 |
| 29.7 | 322 | 0 0 2 |
| 33.4 | 376 | 0 1 1 |
| 34.3 | 308 | 1 0 -2 |
| 40.6 | 1000 | 1 1 -1 |
| 42.6 | 451 | 0 1 2 |
| 45.9 | 277 | 1 0 2 |
| 46.0 | 622 | 1 0 -3 |
| 53.0 | 235 | 2 0 -1 |